No. 1
For La3Si3Cl2, a structure optimized by DFT (GGA-PBE) gives the theoretical powder XRD pattern in this record (a wavelength of 1.5418 Å).
Intensities are scaled so that the largest is 100.

Most intense lines, 2θ from 10° to 90°, most intense first:
two_theta, d/Å, I (rel.)
34.58, 2.594, 100
33.94, 2.641, 92
35.19, 2.550, 89
21.50, 4.134, 76
25.27, 3.525, 73
24.12, 3.689, 67

Crystal structure
Cell lengths 9.3401, 9.3401, 10.6760 Å; angles 97.73, 97.73, 26.28 degrees
Fractional positions:
La  0.0352  0.0352  0.3308
La  0.1156  0.1156  0.9905
La  0.1804  0.1804  0.6486
La  0.8196  0.8196  0.3514
La  0.8844  0.8844  0.0095
La  0.9648  0.9648  0.6692
Si  0.4116  0.4116  0.2230
Si  0.4357  0.4357  0.4493
Si  0.4812  0.4812  0.8884
Si  0.5188  0.5188  0.1116
Si  0.5643  0.5643  0.5507
Si  0.5884  0.5884  0.7770
Cl  0.2028  0.2028  0.3740
Cl  0.2736  0.2736  0.8915
Cl  0.7264  0.7264  0.1085
Cl  0.7972  0.7972  0.6260



No. 2
For La3SiCl3, a structure optimized by DFT (GGA-PBE) gives the theoretical powder XRD pattern in this record (a wavelength of 1.5418 Å).
Intensities are scaled so that the largest is 100.

Most intense lines, 2θ from 10° to 90°, most intense first:
two_theta, d/Å, I (rel.)
29.83, 2.995, 100
42.69, 2.118, 72
25.76, 3.459, 46
10.44, 8.472, 40
70.27, 1.340, 31
52.95, 1.729, 25

Crystal structure
Cell lengths 10.3764, 10.3764, 10.3764 Å; angles 109.47, 109.47, 109.47 degrees
Fractional positions:
La  0.0052  0.0104  0.2552
La  0.0052  0.4948  0.7500
La  0.0104  0.2552  0.0052
La  0.2448  0.2552  0.7500
La  0.2448  0.4896  0.4948
La  0.2552  0.0052  0.0104
La  0.2552  0.7500  0.2448
La  0.4896  0.4948  0.2448
La  0.4948  0.2448  0.4896
La  0.4948  0.7500  0.0052
La  0.7500  0.0052  0.4948
La  0.7500  0.2448  0.2552
Si  0.0000  0.2500  0.5000
Si  0.2500  0.2500  0.2500
Si  0.2500  0.5000  0.0000
Si  0.5000  0.0000  0.2500
Cl  0.2500  0.7520  0.7480
Cl  0.2500  0.9980  0.5020
Cl  0.5020  0.2500  0.9980
Cl  0.5020  0.7520  0.5039
Cl  0.5039  0.5020  0.7520
Cl  0.7480  0.2500  0.7520
Cl  0.7480  0.9980  0.9961
Cl  0.7520  0.5039  0.5020
Cl  0.7520  0.7480  0.2500
Cl  0.9961  0.7480  0.9980
Cl  0.9980  0.5020  0.2500
Cl  0.9980  0.9961  0.7480